# 1
# GePbS6O21
Computed XRD peak list, CuKα. Input: a GGA-PBE-relaxed structure.
Lines closer than 0.1° are merged.

Structural model:
```
data_GePbS6O21
_cell_length_a 9.340
_cell_length_b 9.556
_cell_length_c 11.231
_cell_angle_alpha 89.77
_cell_angle_beta 87.43
_cell_angle_gamma 61.00
_space_group_name_H-M_alt 'P -1'
_space_group_IT_number 2
_space_group_name_Hall '-P 1'
loop_
_atom_site_label
_atom_site_fract_x
_atom_site_fract_y
_atom_site_fract_z
Ge1 0.019 0.488 0.259
Pb1 0.309 0.883 0.376
S1 0.072 0.756 0.151
S2 0.110 0.732 0.627
S3 0.194 0.149 0.670
S4 0.297 0.165 0.130
S5 0.317 0.491 0.791
S6 0.358 0.268 0.353
O1 0.020 0.110 0.339
O2 0.052 0.609 0.617
O3 0.080 0.815 0.037
O4 0.082 0.591 0.140
O5 0.084 0.324 0.641
O6 0.123 0.294 0.165
O7 0.124 0.129 0.801
O8 0.166 0.052 0.586
O9 0.173 0.757 0.245
O10 0.175 0.459 0.824
O11 0.210 0.434 0.346
O12 0.212 0.717 0.523
O13 0.220 0.680 0.744
O14 0.313 0.155 0.405
O15 0.322 0.012 0.171
O16 0.347 0.178 0.011
O17 0.360 0.111 0.688
O18 0.394 0.501 0.895
O19 0.411 0.217 0.212
O20 0.415 0.393 0.690
O21 0.491 0.279 0.400
```

Most intense lines, 10 to 90 degrees two-theta, low angle first:
13.1 deg, 6.766 Å, I 77.9, hkl 0 1 -1; 13.3 deg, 6.674 Å, I 69.9, hkl 1 1 1; 15.8 deg, 5.609 Å, I 78.5, hkl 0 0 2; 18.9 deg, 4.687 Å, I 100.0, hkl 1 1 2; 20.3 deg, 4.378 Å, I 63.6, hkl 2 1 1; 20.4 deg, 4.343 Å, I 74.8, hkl -1 1 1; 22.8 deg, 3.893 Å, I 65.2, hkl 2 0 1; 23.5 deg, 3.788 Å, I 78.3, hkl 2 2 -1; 26.4 deg, 3.381 Å, I 76.5, hkl 2 0 2; 26.9 deg, 3.319 Å, I 64.4, hkl 0 2 2

***

# 2
# NdSeClO4
Computed XRD peak list, CuKα. Input: a GGA-PBE-relaxed structure.
Lines closer than 0.1° are merged.

Structural model:
```
data_NdSeClO4
_cell_length_a 10.229
_cell_length_b 7.382
_cell_length_c 6.852
_cell_angle_alpha 90.00
_cell_angle_beta 104.34
_cell_angle_gamma 90.00
_space_group_name_H-M_alt 'C 1 2/m 1'
_space_group_IT_number 12
_space_group_name_Hall '-C 2y'
loop_
_atom_site_label
_atom_site_fract_x
_atom_site_fract_y
_atom_site_fract_z
Nd1 0.224 0.000 0.131
Se1 0.137 0.500 0.267
Cl1 0.021 0.000 0.767
O1 0.027 0.500 0.758
O2 0.187 0.326 0.140
O3 0.223 0.500 0.505
```

Most intense lines, 10 to 90 degrees two-theta, low angle first:
13.3 deg, 6.638 Å, I 50.5, hkl 0 0 1; 17.9 deg, 4.955 Å, I 49.4, hkl 2 0 0; 24.1 deg, 3.691 Å, I 100.0, hkl 0 2 0; 24.9 deg, 3.570 Å, I 49.1, hkl 2 0 1; 28.8 deg, 3.097 Å, I 46.3, hkl 1 1 -2; 29.6 deg, 3.014 Å, I 56.4, hkl 3 1 -1; 35.0 deg, 2.566 Å, I 22.2, hkl 2 2 1; 35.4 deg, 2.536 Å, I 42.3, hkl 3 1 -2; 46.0 deg, 1.973 Å, I 23.4, hkl 3 3 -1; 46.1 deg, 1.969 Å, I 20.8, hkl 5 1 -1

***

# 3
# GaTeO4
Computed XRD peak list, CuKα. Input: a GGA-PBE-relaxed structure.
Lines closer than 0.1° are merged.

Structural model:
```
data_GaTeO4
_cell_length_a 4.875
_cell_length_b 5.492
_cell_length_c 5.831
_cell_angle_alpha 92.96
_cell_angle_beta 91.16
_cell_angle_gamma 97.72
_space_group_name_H-M_alt 'P -1'
_space_group_IT_number 2
_space_group_name_Hall '-P 1'
loop_
_atom_site_label
_atom_site_fract_x
_atom_site_fract_y
_atom_site_fract_z
Ga1 0.054 0.467 0.235
Te1 0.000 0.000 0.500
Te2 0.500 0.000 0.000
O1 0.171 0.697 0.491
O2 0.230 0.650 0.992
O3 0.241 0.173 0.267
O4 0.254 0.145 0.742
```

Most intense lines, 10 to 90 degrees two-theta, low angle first:
16.3 deg, 5.434 Å, I 35.6, hkl 0 1 0; 18.4 deg, 4.829 Å, I 58.4, hkl 1 0 0; 23.6 deg, 3.768 Å, I 48.1, hkl 1 0 -1; 24.3 deg, 3.667 Å, I 100.0, hkl 1 0 1; 27.9 deg, 3.203 Å, I 95.1, hkl -1 1 1; 29.8 deg, 2.999 Å, I 52.1, hkl 1 1 -1; 33.0 deg, 2.717 Å, I 51.8, hkl 0 2 0; 34.1 deg, 2.626 Å, I 51.6, hkl 0 1 -2; 35.8 deg, 2.509 Å, I 41.5, hkl 0 1 2; 50.2 deg, 1.819 Å, I 36.4, hkl 1 0 -3

***

# 4
# Y3Zn3Hg2
Computed XRD peak list, CuKα. Input: a GGA-PBE-relaxed structure.
Lines closer than 0.1° are merged.

Structural model:
```
data_Y3Zn3Hg2
_cell_length_a 4.520
_cell_length_b 10.943
_cell_length_c 14.749
_cell_angle_alpha 90.00
_cell_angle_beta 90.00
_cell_angle_gamma 90.00
_space_group_name_H-M_alt 'C m c m'
_space_group_IT_number 63
_space_group_name_Hall '-C 2c 2'
loop_
_atom_site_label
_atom_site_fract_x
_atom_site_fract_y
_atom_site_fract_z
Y1 0.000 0.088 0.110
Y2 0.000 0.363 0.250
Zn1 0.000 0.361 0.750
Zn2 0.000 0.398 0.039
Hg1 0.000 0.205 0.601
```

Most intense lines, 10 to 90 degrees two-theta, low angle first:
16.2 deg, 5.471 Å, I 32.3, hkl 0 2 0; 22.1 deg, 4.020 Å, I 19.0, hkl 1 1 1; 28.0 deg, 3.184 Å, I 34.8, hkl 1 1 3; 32.1 deg, 2.787 Å, I 45.4, hkl 1 3 1; 32.4 deg, 2.764 Å, I 72.4, hkl 1 1 4; 36.6 deg, 2.458 Å, I 100.0, hkl 0 0 6; 37.6 deg, 2.390 Å, I 25.6, hkl 0 4 3; 39.9 deg, 2.260 Å, I 49.1, hkl 2 0 0; 40.1 deg, 2.249 Å, I 45.6, hkl 1 3 4; 48.4 deg, 1.881 Å, I 17.9, hkl 1 1 7

***

# 5
# PrSm3Er7
Computed XRD peak list, CuKα. Input: a GGA-PBE-relaxed structure.
Lines closer than 0.1° are merged.

Structural model:
```
data_PrSm3Er7
_cell_length_a 5.811
_cell_length_b 11.142
_cell_length_c 11.202
_cell_angle_alpha 90.00
_cell_angle_beta 90.00
_cell_angle_gamma 90.00
_space_group_name_H-M_alt 'I m m m'
_space_group_IT_number 71
_space_group_name_Hall '-I 2 2'
loop_
_atom_site_label
_atom_site_fract_x
_atom_site_fract_y
_atom_site_fract_z
Pr1 0.000 0.000 0.000
Sm1 0.000 0.000 0.500
Sm2 0.000 0.500 0.210
Er1 0.000 0.211 0.307
Er2 0.000 0.296 0.000
Er3 0.000 0.500 0.500
```

Most intense lines, 10 to 90 degrees two-theta, low angle first:
25.3 deg, 3.525 Å, I 10.1, hkl 0 3 1; 30.8 deg, 2.906 Å, I 38.9, hkl 2 0 0; 32.0 deg, 2.801 Å, I 12.3, hkl 0 0 4; 32.1 deg, 2.786 Å, I 18.0, hkl 0 4 0; 32.7 deg, 2.735 Å, I 100.0, hkl 1 2 3; 40.2 deg, 2.244 Å, I 10.1, hkl 2 3 1; 45.0 deg, 2.016 Å, I 9.6, hkl 2 0 4; 45.1 deg, 2.011 Å, I 14.2, hkl 2 4 0; 56.0 deg, 1.643 Å, I 21.9, hkl 3 2 3; 62.8 deg, 1.481 Å, I 9.3, hkl 1 7 2

***

# 6
# Tb6TeC4
Computed XRD peak list, CuKα. Input: a GGA-PBE-relaxed structure.
Lines closer than 0.1° are merged.

Structural model:
```
data_Tb6TeC4
_cell_length_a 3.744
_cell_length_b 12.309
_cell_length_c 19.229
_cell_angle_alpha 90.00
_cell_angle_beta 90.00
_cell_angle_gamma 90.00
_space_group_name_H-M_alt 'C m c m'
_space_group_IT_number 63
_space_group_name_Hall '-C 2c 2'
loop_
_atom_site_label
_atom_site_fract_x
_atom_site_fract_y
_atom_site_fract_z
Tb1 0.000 0.000 0.000
Tb2 0.000 0.145 0.250
Tb3 0.000 0.277 0.576
Tb4 0.000 0.464 0.146
Te1 0.000 0.162 0.750
C1 0.000 0.090 0.127
C2 0.000 0.363 0.042
```

Most intense lines, 10 to 90 degrees two-theta, low angle first:
28.5 deg, 3.127 Å, I 29.3, hkl 1 1 3; 30.5 deg, 2.931 Å, I 30.9, hkl 0 4 2; 31.1 deg, 2.872 Å, I 100.0, hkl 1 1 4; 31.5 deg, 2.843 Å, I 80.1, hkl 0 2 6; 32.7 deg, 2.738 Å, I 32.6, hkl 1 3 1; 33.7 deg, 2.658 Å, I 86.0, hkl 1 3 2; 48.6 deg, 1.872 Å, I 26.6, hkl 2 0 0; 50.3 deg, 1.814 Å, I 28.8, hkl 1 5 5; 58.5 deg, 1.578 Å, I 32.1, hkl 1 3 10; 59.1 deg, 1.563 Å, I 30.5, hkl 2 2 6